Entry 1:
Computed powder diffraction line list
Compound: Rb3TlO3
Radiation: Cu Ka
Structure: a PBE-relaxed structure

Structural model:
```
data_Rb3TlO3
_cell_length_a 7.911
_cell_length_b 7.266
_cell_length_c 11.774
_cell_angle_alpha 90.00
_cell_angle_beta 93.85
_cell_angle_gamma 90.00
_symmetry_space_group_name_H-M 'P 1 21/c 1'
_symmetry_Int_Tables_number 14
_symmetry_space_group_name_Hall '-P 2ybc'
loop_
_atom_site_label
_atom_site_type_symbol
_atom_site_fract_x
_atom_site_fract_y
_atom_site_fract_z
_atom_site_occupancy
Rb1 Rb 0.063 0.132 0.157 1
Rb2 Rb 0.356 0.177 0.923 1
Rb3 Rb 0.371 0.700 0.812 1
Tl1 Tl 0.165 0.595 0.070 1
O1 O 0.110 0.038 0.396 1
O2 O 0.261 0.634 0.539 1
O3 O 0.308 0.062 0.697 1
```

Most intense lines, 2θ = 15–90°, sorted by position:
2θ 17.91, I = 27, (1 1 -1)
2θ 27.62, I = 45, (1 1 -3)
2θ 28.07, I = 59, (2 0 2)
2θ 28.29, I = 100, (1 2 1)
2θ 29.12, I = 52, (2 1 -2)
2θ 32.90, I = 55, (0 1 4)
2θ 36.65, I = 24, (3 1 -1)
2θ 42.73, I = 30, (1 1 5)


Entry 2:
Computed powder diffraction line list
Compound: Rb2TlO
Radiation: Cu Ka
Structure: a PBE-relaxed structure

Structural model:
```
data_Rb2TlO
_cell_length_a 10.748
_cell_length_b 10.748
_cell_length_c 5.379
_cell_angle_alpha 90.00
_cell_angle_beta 90.00
_cell_angle_gamma 90.00
_symmetry_space_group_name_H-M 'I -4 2 d'
_symmetry_Int_Tables_number 122
_symmetry_space_group_name_Hall 'I -4 2bw'
loop_
_atom_site_label
_atom_site_type_symbol
_atom_site_fract_x
_atom_site_fract_y
_atom_site_fract_z
_atom_site_occupancy
Rb1 Rb 0.076 0.750 0.125 1
Tl1 Tl 0.000 0.000 0.500 1
O1 O 0.000 0.000 0.000 1
```

Most intense lines, 2θ = 15–90°, sorted by position:
2θ 16.50, I = 44, (2 0 0)
2θ 24.84, I = 100, (2 1 1)
2θ 33.35, I = 19, (4 0 0)
2θ 34.40, I = 23, (3 2 1)
2θ 35.40, I = 23, (1 1 2)
2θ 37.42, I = 39, (4 2 0)
2θ 42.88, I = 24, (3 1 2)
2θ 45.44, I = 17, (5 0 1)


Entry 3:
Computed powder diffraction line list
Compound: Rb5Tl2O6
Radiation: Cu Ka
Structure: a PBE-relaxed structure

Structural model:
```
data_Rb5Tl2O6
_cell_length_a 11.816
_cell_length_b 7.720
_cell_length_c 14.741
_cell_angle_alpha 90.00
_cell_angle_beta 100.79
_cell_angle_gamma 90.00
_symmetry_space_group_name_H-M 'C 1 2/c 1'
_symmetry_Int_Tables_number 15
_symmetry_space_group_name_Hall '-C 2yc'
loop_
_atom_site_label
_atom_site_type_symbol
_atom_site_fract_x
_atom_site_fract_y
_atom_site_fract_z
_atom_site_occupancy
Rb1 Rb 0.000 0.130 0.250 1
Rb2 Rb 0.035 0.223 0.001 1
Rb3 Rb 0.157 0.387 0.716 1
Tl1 Tl 0.219 0.408 0.429 1
O1 O 0.050 0.493 0.379 1
O2 O 0.147 0.027 0.646 1
O3 O 0.194 0.111 0.425 1
```

Most intense lines, 2θ = 15–90°, sorted by position:
2θ 15.65, I = 36, (1 1 1)
2θ 17.47, I = 44, (1 1 -2)
2θ 19.39, I = 38, (1 1 2)
2θ 25.76, I = 36, (3 1 0)
2θ 26.99, I = 60, (1 1 -4)
2θ 27.50, I = 48, (3 1 1)
2θ 29.12, I = 79, (3 1 -3)
2θ 29.61, I = 100, (0 2 3)